[1]
RbPb6Au2: calculated X-ray powder pattern (Cu Kα, 1.54184 Å), based on a DFT-relaxed cell (PBE, Alexandria).
Intensities are scaled so that the largest is 100.

The 12 most intense peaks (2θ = 5–70°), in order of falling intensity:
2theta, I_rel
30.0, 100.0
36.7, 51.0
34.7, 37.5
62.0, 26.5
54.3, 19.0
52.9, 18.2
64.8, 12.8
38.6, 12.5
67.4, 10.2
18.1, 9.2
48.6, 8.7
7.6, 8.5

Structural model:
Lattice parameters (Å, degrees): 4.8991 4.8991 11.6544 90.00 90.00 90.00
Positions (direct):
1 Rb 0.0000 0.0000 0.0000
2 Pb 0.0000 0.0000 0.5000
3 Pb 0.0000 0.5000 0.2774
4 Pb 0.0000 0.5000 0.7226
5 Pb 0.5000 0.0000 0.2774
6 Pb 0.5000 0.0000 0.7226
7 Pb 0.5000 0.5000 0.5000
8 Au 0.5000 0.5000 0.1173
9 Au 0.5000 0.5000 0.8827

***

[2]
Rb2Pb12Au7: calculated X-ray powder pattern (Cu Kα, 1.54184 Å), based on a DFT-relaxed cell (PBE, Alexandria).
Intensities are scaled so that the largest is 100.

The 12 most intense peaks (2θ = 5–70°), in order of falling intensity:
2theta, I_rel
29.3, 100.0
39.1, 59.2
36.1, 33.1
38.1, 24.3
37.1, 23.7
64.8, 23.2
14.5, 19.9
51.9, 15.8
55.7, 15.4
31.7, 14.8
54.2, 12.5
33.9, 12.3

Structural model:
Lattice parameters (Å, degrees): 12.2016 12.2016 4.7283 90.00 90.00 120.00
Positions (direct):
1 Rb 0.3333 0.6667 0.2484
2 Rb 0.6667 0.3333 0.7516
3 Pb 0.0708 0.6303 0.7449
4 Pb 0.1233 0.8637 0.2508
5 Pb 0.1363 0.2596 0.2508
6 Pb 0.2596 0.1233 0.7492
7 Pb 0.3697 0.4405 0.7449
8 Pb 0.4405 0.0708 0.2551
9 Pb 0.5595 0.9292 0.7449
10 Pb 0.6303 0.5595 0.2551
11 Pb 0.7404 0.8767 0.2508
12 Pb 0.8637 0.7404 0.7492
13 Pb 0.8767 0.1363 0.7492
14 Pb 0.9292 0.3697 0.2551
15 Au 0.0000 0.0000 0.0000
16 Au 0.1041 0.4059 0.7610
17 Au 0.3019 0.8959 0.7610
18 Au 0.4059 0.3019 0.2390
19 Au 0.5941 0.6981 0.7610
20 Au 0.6981 0.1041 0.2390
21 Au 0.8959 0.5941 0.2390

***

[3]
RbPb4Au: calculated X-ray powder pattern (Cu Kα, 1.54184 Å), based on a DFT-relaxed cell (PBE, Alexandria).
Intensities are scaled so that the largest is 100.

The 12 most intense peaks (2θ = 5–70°), in order of falling intensity:
2theta, I_rel
33.3, 100.0
28.3, 62.6
35.1, 49.2
13.4, 47.8
9.8, 42.1
29.2, 32.9
38.9, 32.3
31.2, 22.7
29.8, 22.1
54.8, 15.8
49.3, 14.7
66.9, 13.9

Structural model:
Lattice parameters (Å, degrees): 9.7863 4.6283 8.9858 90.00 90.00 90.00
Positions (direct):
1 Rb 0.2500 0.0000 0.1193
2 Rb 0.7500 0.0000 0.8807
3 Pb 0.0000 0.0000 0.5000
4 Pb 0.0728 0.5000 0.7940
5 Pb 0.2500 0.5000 0.4670
6 Pb 0.4272 0.5000 0.7940
7 Pb 0.5000 0.0000 0.5000
8 Pb 0.5728 0.5000 0.2060
9 Pb 0.7500 0.5000 0.5330
10 Pb 0.9272 0.5000 0.2060
11 Au 0.2500 0.0000 0.7270
12 Au 0.7500 0.0000 0.2730

***

[4]
Rb4PbAu3: calculated X-ray powder pattern (Cu Kα, 1.54184 Å), based on a DFT-relaxed cell (PBE, Alexandria).
Intensities are scaled so that the largest is 100.

The 12 most intense peaks (2θ = 5–70°), in order of falling intensity:
2theta, I_rel
32.7, 100.0
18.9, 83.9
25.9, 82.8
35.6, 81.2
13.8, 79.1
33.1, 65.7
27.4, 63.6
49.4, 43.3
62.1, 32.3
45.5, 32.1
51.2, 28.9
38.3, 28.3

Structural model:
Lattice parameters (Å, degrees): 5.0463 5.0483 12.8098 90.00 90.00 90.00
Positions (direct):
1 Rb 0.0000 0.0000 0.0000
2 Rb 0.0000 0.5000 0.4668
3 Rb 0.5000 0.0000 0.6793
4 Rb 0.5000 0.5000 0.2031
5 Pb 0.0000 0.5000 0.7901
6 Au 0.0000 0.0000 0.2737
7 Au 0.5000 0.0000 0.3965
8 Au 0.5000 0.5000 0.8854

***

[5]
Rb2PbAu: calculated X-ray powder pattern (Cu Kα, 1.54184 Å), based on a DFT-relaxed cell (PBE, Alexandria).
Intensities are scaled so that the largest is 100.

The 12 most intense peaks (2θ = 5–70°), in order of falling intensity:
2theta, I_rel
28.5, 100.0
15.3, 75.0
33.2, 71.0
27.7, 48.1
13.6, 43.4
36.8, 41.3
18.1, 30.1
45.0, 28.7
58.9, 28.3
25.7, 27.8
49.0, 25.1
46.0, 24.3

Structural model:
Lattice parameters (Å, degrees): 11.5659 7.8517 7.4282 90.00 90.00 90.00
Positions (direct):
1 Rb 0.1670 0.1975 0.2500
2 Rb 0.1670 0.8025 0.7500
3 Rb 0.3330 0.3025 0.7500
4 Rb 0.3330 0.6975 0.2500
5 Rb 0.6670 0.3025 0.7500
6 Rb 0.6670 0.6975 0.2500
7 Rb 0.8330 0.1975 0.2500
8 Rb 0.8330 0.8025 0.7500
9 Pb 0.0000 0.2337 0.7500
10 Pb 0.0000 0.7663 0.2500
11 Pb 0.5000 0.2663 0.2500
12 Pb 0.5000 0.7337 0.7500
13 Au 0.0000 0.5000 0.0000
14 Au 0.0000 0.5000 0.5000
15 Au 0.5000 0.0000 0.0000
16 Au 0.5000 0.0000 0.5000

***

[6]
RbSb2Pb2Au: calculated X-ray powder pattern (Cu Kα, 1.54184 Å), based on a DFT-relaxed cell (PBE, Alexandria).
Intensities are scaled so that the largest is 100.

The 12 most intense peaks (2θ = 5–70°), in order of falling intensity:
2theta, I_rel
29.9, 100.0
38.3, 96.5
18.9, 81.4
26.0, 65.3
47.2, 57.4
27.2, 57.4
35.7, 55.9
39.0, 39.5
22.1, 22.2
30.3, 21.9
23.1, 21.9
65.9, 19.4

Structural model:
Lattice parameters (Å, degrees): 6.7309 13.0030 5.0293 90.00 90.00 90.00
Positions (direct):
1 Rb 0.0000 0.0000 0.0000
2 Rb 0.5000 0.5000 0.5000
3 Sb 0.2382 0.3357 0.0000
4 Sb 0.2618 0.8357 0.5000
5 Sb 0.7382 0.1643 0.5000
6 Sb 0.7618 0.6643 0.0000
7 Pb 0.2203 0.1983 0.5000
8 Pb 0.2797 0.6983 0.0000
9 Pb 0.7203 0.3017 0.0000
10 Pb 0.7797 0.8017 0.5000
11 Au 0.0000 0.5000 0.0000
12 Au 0.5000 0.0000 0.5000

***

[7]
RbPb2AuSe: calculated X-ray powder pattern (Cu Kα, 1.54184 Å), based on a DFT-relaxed cell (PBE, Alexandria).
Intensities are scaled so that the largest is 100.

The 12 most intense peaks (2θ = 5–70°), in order of falling intensity:
2theta, I_rel
32.0, 100.0
15.8, 76.4
45.8, 74.6
27.6, 46.4
35.8, 44.2
56.9, 26.3
48.8, 23.8
22.4, 22.6
54.3, 21.4
69.1, 13.8
66.8, 12.3
39.4, 11.0

Structural model:
Lattice parameters (Å, degrees): 5.6028 5.6028 5.6007 90.00 90.00 90.00
Positions (direct):
1 Rb 0.0000 0.0000 0.0000
2 Pb 0.0000 0.5000 0.5000
3 Pb 0.5000 0.0000 0.5000
4 Au 0.5000 0.5000 0.5000
5 Se 0.5000 0.5000 0.0000

***

[8]
RbPbAuSe2: calculated X-ray powder pattern (Cu Kα, 1.54184 Å), based on a DFT-relaxed cell (PBE, Alexandria).
Intensities are scaled so that the largest is 100.

The 12 most intense peaks (2θ = 5–70°), in order of falling intensity:
2theta, I_rel
11.3, 100.0
30.2, 66.8
36.3, 47.5
28.0, 42.2
32.7, 41.6
25.7, 27.1
38.4, 26.0
44.9, 23.3
22.8, 23.1
59.1, 17.4
46.7, 16.3
54.1, 15.9

Structural model:
Lattice parameters (Å, degrees): 8.6925 8.6925 5.8509 90.00 90.00 128.03
Positions (direct):
1 Rb 0.2500 0.7500 0.7660
2 Rb 0.7500 0.2500 0.2340
3 Pb 0.2500 0.2500 0.5000
4 Pb 0.7500 0.7500 0.5000
5 Au 0.0000 0.0000 0.0000
6 Au 0.5000 0.5000 0.0000
7 Se 0.1236 0.8764 0.2602
8 Se 0.3764 0.6236 0.2602
9 Se 0.6236 0.3764 0.7398
10 Se 0.8764 0.1236 0.7398

***

[9]
Rb2Sn4PbAu3: calculated X-ray powder pattern (Cu Kα, 1.54184 Å), based on a DFT-relaxed cell (PBE, Alexandria).
Intensities are scaled so that the largest is 100.

The 12 most intense peaks (2θ = 5–70°), in order of falling intensity:
2theta, I_rel
29.5, 100.0
36.0, 87.3
39.9, 73.4
29.0, 48.9
67.4, 32.8
15.1, 31.3
51.9, 31.2
19.3, 30.8
60.8, 26.5
46.9, 26.3
42.5, 21.7
53.5, 19.0

Structural model:
Lattice parameters (Å, degrees): 4.9845 4.9845 11.7587 90.00 90.00 90.00
Positions (direct):
1 Rb 0.0000 0.5000 0.2482
2 Rb 0.5000 0.0000 0.7518
3 Sn 0.0000 0.0000 0.0000
4 Sn 0.0000 0.5000 0.6434
5 Sn 0.5000 0.0000 0.3566
6 Sn 0.5000 0.5000 0.0000
7 Pb 0.0000 0.0000 0.5000
8 Au 0.0000 0.5000 0.8797
9 Au 0.5000 0.0000 0.1203
10 Au 0.5000 0.5000 0.5000

***

[10]
Sb2RuPbAu: calculated X-ray powder pattern (Cu Kα, 1.54184 Å), based on a DFT-relaxed cell (PBE, Alexandria).
Intensities are scaled so that the largest is 100.

The 12 most intense peaks (2θ = 5–70°), in order of falling intensity:
2theta, I_rel
30.2, 100.0
35.8, 61.0
49.7, 48.2
33.3, 37.1
60.9, 27.8
62.8, 23.9
51.5, 21.6
25.1, 18.5
57.6, 16.5
42.2, 9.9
24.3, 7.3
17.7, 6.2

Structural model:
Lattice parameters (Å, degrees): 5.0147 5.0147 5.3824 90.00 90.00 90.00
Positions (direct):
1 Sb 0.0000 0.5000 0.0000
2 Sb 0.5000 0.0000 0.0000
3 Ru 0.0000 0.0000 0.0000
4 Pb 0.5000 0.5000 0.5000
5 Au 0.0000 0.0000 0.5000

***

[11]
PbAu5S4: calculated X-ray powder pattern (Cu Kα, 1.54184 Å), based on a DFT-relaxed cell (PBE, Alexandria).
Intensities are scaled so that the largest is 100.

The 12 most intense peaks (2θ = 5–70°), in order of falling intensity:
2theta, I_rel
23.4, 100.0
27.2, 64.2
26.3, 43.1
36.6, 39.3
34.0, 34.2
41.7, 33.5
33.4, 32.8
48.3, 30.6
35.8, 29.9
12.9, 25.3
48.4, 21.5
47.4, 20.0

Structural model:
Lattice parameters (Å, degrees): 8.5818 8.5818 7.5991 114.27 114.27 29.27
Positions (direct):
1 Pb 0.0000 0.0000 0.0000
2 Au 0.0000 0.0000 0.5000
3 Au 0.2590 0.2590 0.7585
4 Au 0.3726 0.3726 0.4066
5 Au 0.6274 0.6274 0.5934
6 Au 0.7410 0.7410 0.2415
7 S 0.1268 0.1268 0.8024
8 S 0.3934 0.3934 0.7411
9 S 0.6066 0.6066 0.2589
10 S 0.8732 0.8732 0.1976

***

[12]
TePb2AuS5: calculated X-ray powder pattern (Cu Kα, 1.54184 Å), based on a DFT-relaxed cell (PBE, Alexandria).
Intensities are scaled so that the largest is 100.

The 12 most intense peaks (2θ = 5–70°), in order of falling intensity:
2theta, I_rel
27.3, 100.0
24.4, 94.3
23.2, 79.3
31.6, 73.6
31.0, 61.8
27.5, 54.7
45.1, 41.0
47.8, 37.3
28.3, 37.3
34.2, 36.7
46.8, 31.0
37.1, 29.1

Structural model:
Lattice parameters (Å, degrees): 9.0970 9.0970 12.7762 90.00 90.00 155.34
Positions (direct):
1 Te 0.2174 0.7826 0.5000
2 Te 0.7826 0.2174 0.0000
3 Pb 0.1074 0.8926 0.1675
4 Pb 0.1241 0.8759 0.7784
5 Pb 0.8759 0.1241 0.2784
6 Pb 0.8926 0.1074 0.6675
7 Au 0.4718 0.5282 0.9521
8 Au 0.5282 0.4718 0.4521
9 S 0.0394 0.9606 0.5599
10 S 0.2823 0.7177 0.1531
11 S 0.2887 0.7113 0.8605
12 S 0.3558 0.6442 0.4952
13 S 0.4986 0.5014 0.7705
14 S 0.5014 0.4986 0.2705
15 S 0.6442 0.3558 0.9952
16 S 0.7113 0.2887 0.3605
17 S 0.7177 0.2823 0.6531
18 S 0.9606 0.0394 0.0599